For Li2MnF4, DFT lattice parameters and positions (PBE+U) gives the simulated powder diffractogram in this record (Cu Kα).
Intensities are scaled so that the largest is 100.

Structural model:
Cell: 6.118 6.118 8.604 Å, 90.00 90.00 90.00°
Atoms (fractional coordinates):
Li 0.000 0.214 0.000
Li 0.000 0.786 0.500
Li 0.214 0.000 0.250
Li 0.251 0.251 0.625
Li 0.251 0.749 0.875
Li 0.749 0.251 0.375
Li 0.749 0.749 0.125
Li 0.786 0.000 0.750
Mn 0.225 0.500 0.250
Mn 0.500 0.225 0.000
Mn 0.500 0.775 0.500
Mn 0.775 0.500 0.750
F 0.000 0.243 0.237
F 0.000 0.243 0.763
F 0.000 0.757 0.263
F 0.000 0.757 0.737
F 0.243 0.000 0.013
F 0.243 0.000 0.487
F 0.249 0.477 0.001
F 0.249 0.523 0.499
F 0.477 0.249 0.249
F 0.477 0.751 0.251
F 0.523 0.249 0.751
F 0.523 0.751 0.749
F 0.751 0.477 0.999
F 0.751 0.523 0.501
F 0.757 0.000 0.513
F 0.757 0.000 0.987

Principal peaks in the range 2θ = 5–70°, in order of rising 2θ:
- d 6.118, 14.48°, I = 29
- d 4.986, 17.79°, I = 100
- d 3.865, 23.01°, I = 61
- d 3.519, 25.31°, I = 37
- d 2.607, 34.40°, I = 42
- d 2.390, 37.63°, I = 25
- d 2.163, 41.76°, I = 87
- d 2.151, 42.00°, I = 45
- d 1.529, 60.53°, I = 26
- d 1.525, 60.72°, I = 53